This entry pairs a crystal structure of ErHS2O8 with its simulated X-ray powder pattern. Radiation: λ = 1.5418 Å (Cu Kα). Structure: a GGA-PBE-relaxed structure.
Kinematic intensities with the Lorentz-polarization factor, no thermal factor.

Atomic structure:
```
data_ErHS2O8
_symmetry_space_group_name_H-M 'P 1 21/c 1'
_symmetry_Int_Tables_number 14
_cell_length_a 5.508
_cell_length_b 10.869
_cell_length_c 10.662
_cell_angle_alpha 90.00
_cell_angle_beta 105.42
_cell_angle_gamma 90.00
loop_
_symmetry_equiv_pos_as_xyz
'x,y,z'
'-x,-y,-z'
'-x,y+1/2,-z+1/2'
'x,-y+1/2,z+1/2'
loop_
_atom_site_label
_atom_site_type_symbol
_atom_site_fract_x
_atom_site_fract_y
_atom_site_fract_z
Er1 Er 0.236 0.167 0.348
H1 H 0.349 0.524 0.605
S1 S 0.176 0.682 0.495
S2 S 0.290 0.045 0.680
O1 O 0.002 0.685 0.366
O2 O 0.052 0.711 0.597
O3 O 0.053 0.510 0.191
O4 O 0.260 0.544 0.512
O5 O 0.276 0.075 0.544
O6 O 0.353 0.155 0.765
O7 O 0.397 0.741 0.003
O8 O 0.496 0.045 0.270
```

Largest 10 diffraction maxima, in order of rising 2θ, 2θ from 5° to 70°:
h k l, Position (°2θ), d/Å, Rel. int.
0 1 1, 11.85, 7.468, 33
0 2 1, 18.47, 4.802, 63
1 1 0, 18.60, 4.771, 92
0 1 2, 19.10, 4.646, 96
1 1 -2, 22.19, 4.006, 39
1 2 -1, 23.38, 3.805, 100
1 2 -2, 26.39, 3.377, 35
1 2 1, 26.52, 3.361, 34
0 1 3, 27.29, 3.267, 51
1 3 -1, 29.82, 2.996, 68